Computed X-ray diffraction stick pattern
Compound: CoH8Br2O4
Radiation: Cu Kα (weighted mean of Kα1 and Kα2)
Structure: a structure optimized by DFT (PBE+U)
Neutral-atom scattering factors, no anomalous dispersion.

Crystal structure
a = 6.038 Å, b = 6.978 Å, c = 8.507 Å
α = 90.00°, β = 110.24°, γ = 90.00°
Fractional coordinates of all 30 atoms:
Co 0.000 0.000 0.000
Co 0.000 0.500 0.500
H 0.106 0.066 0.714
H 0.106 0.434 0.214
H 0.120 0.068 0.338
H 0.120 0.432 0.838
H 0.367 0.712 0.495
H 0.367 0.788 0.995
H 0.379 0.693 0.680
H 0.379 0.807 0.180
H 0.621 0.193 0.820
H 0.621 0.307 0.320
H 0.633 0.212 0.005
H 0.633 0.288 0.505
H 0.880 0.568 0.162
H 0.880 0.932 0.662
H 0.894 0.566 0.786
H 0.894 0.934 0.286
Br 0.316 0.222 0.579
Br 0.316 0.278 0.079
Br 0.684 0.722 0.921
Br 0.684 0.778 0.421
O 0.008 0.503 0.743
O 0.008 0.997 0.243
O 0.266 0.701 0.564
O 0.266 0.799 0.064
O 0.734 0.201 0.936
O 0.734 0.299 0.436
O 0.992 0.003 0.757
O 0.992 0.497 0.257

Main lines, in order of falling intensity (2θ from 15° to 90°):
| 2theta | d (Å) | I (rel.) |
| --- | --- | --- |
| 20.2 | 4.394 | 100 |
| 22.3 | 3.982 | 90 |
| 41.0 | 2.199 | 86 |
| 30.1 | 2.970 | 78 |
| 25.8 | 3.459 | 77 |
| 41.2 | 2.191 | 40 |
| 42.5 | 2.127 | 35 |
| 25.6 | 3.482 | 33 |
| 31.6 | 2.833 | 29 |
| 31.8 | 2.815 | 27 |